Calculated powder XRD pattern of CaMg14CO16 for CuKα, from a GGA-PBE-relaxed structure.

Top 8 peaks for 10° ≤ 2θ ≤ 80°, in order of rising 2θ:
2θ/deg	I/Imax
36.3	15
42.1	100
42.2	49
61.1	55
61.1	27
73.1	7
73.3	3
77.0	25

Structural model:
abc: 4.296 8.562 8.586
angles: 90.00 90.00 90.00
Fractional coordinates of all 32 atoms:
Ca: 0.000 0.000 0.000
Mg: 0.000 0.000 0.500
Mg: 0.000 0.255 0.251
Mg: 0.000 0.255 0.749
Mg: 0.000 0.500 0.500
Mg: 0.000 0.745 0.251
Mg: 0.000 0.745 0.749
Mg: 0.500 0.000 0.255
Mg: 0.500 0.000 0.745
Mg: 0.500 0.250 0.500
Mg: 0.500 0.258 0.000
Mg: 0.500 0.500 0.247
Mg: 0.500 0.500 0.753
Mg: 0.500 0.742 0.000
Mg: 0.500 0.750 0.500
C: 0.000 0.500 0.000
O: 0.000 0.000 0.263
O: 0.000 0.000 0.737
O: 0.000 0.253 0.500
O: 0.000 0.263 0.000
O: 0.000 0.500 0.253
O: 0.000 0.500 0.747
O: 0.000 0.737 0.000
O: 0.000 0.747 0.500
O: 0.500 0.000 0.000
O: 0.500 0.000 0.500
O: 0.500 0.250 0.248
O: 0.500 0.250 0.752
O: 0.500 0.500 0.000
O: 0.500 0.500 0.500
O: 0.500 0.750 0.248
O: 0.500 0.750 0.752

Calculated powder XRD pattern of CaMgC2O6 for CuKα, from a GGA-PBE-relaxed structure.

Top 8 peaks for 10° ≤ 2θ ≤ 80°, in order of rising 2θ:
2θ/deg	I/Imax
30.6	100
36.9	11
40.6	30
44.4	15
50.0	19
50.5	23
59.0	10
66.5	9

Structural model:
abc: 6.085 6.085 6.085
angles: 47.20 47.20 47.20
Fractional coordinates of all 10 atoms:
Ca: 0.000 0.000 0.000
Mg: 0.500 0.500 0.500
C: 0.243 0.243 0.243
C: 0.757 0.757 0.757
O: 0.037 0.723 0.508
O: 0.277 0.492 0.963
O: 0.492 0.963 0.277
O: 0.508 0.037 0.723
O: 0.723 0.508 0.037
O: 0.963 0.277 0.492

Calculated powder XRD pattern of CaMg14CO16 for CuKα, from a GGA-PBE-relaxed structure.

Top 8 peaks for 10° ≤ 2θ ≤ 80°, in order of rising 2θ:
2θ/deg	I/Imax
23.2	2
31.2	3
36.2	10
42.1	100
61.0	56
73.0	2
73.1	5
76.9	17

Structural model:
abc: 8.585 8.585 4.300
angles: 90.00 90.00 90.00
Fractional coordinates of all 32 atoms:
Ca: 0.000 0.000 0.000
Mg: 0.000 0.256 0.500
Mg: 0.000 0.500 0.000
Mg: 0.000 0.744 0.500
Mg: 0.253 0.500 0.500
Mg: 0.255 0.255 0.000
Mg: 0.255 0.745 0.000
Mg: 0.256 0.000 0.500
Mg: 0.500 0.000 0.000
Mg: 0.500 0.253 0.500
Mg: 0.500 0.747 0.500
Mg: 0.744 0.000 0.500
Mg: 0.745 0.255 0.000
Mg: 0.745 0.745 0.000
Mg: 0.747 0.500 0.500
C: 0.500 0.500 0.000
O: 0.000 0.000 0.500
O: 0.000 0.264 0.000
O: 0.000 0.500 0.500
O: 0.000 0.736 0.000
O: 0.251 0.251 0.500
O: 0.251 0.500 0.000
O: 0.251 0.749 0.500
O: 0.264 0.000 0.000
O: 0.500 0.000 0.500
O: 0.500 0.251 0.000
O: 0.500 0.500 0.500
O: 0.500 0.749 0.000
O: 0.736 0.000 0.000
O: 0.749 0.251 0.500
O: 0.749 0.500 0.000
O: 0.749 0.749 0.500

Calculated powder XRD pattern of CaC8N6 for CuKα, from a GGA-PBE-relaxed structure.

Top 8 peaks for 10° ≤ 2θ ≤ 80°, in order of rising 2θ:
2θ/deg	I/Imax
13.5	20
20.7	100
22.2	57
24.8	40
26.2	23
28.3	46
28.5	69
31.5	40

Structural model:
abc: 8.069 5.689 11.266
angles: 90.00 90.00 90.00
Fractional coordinates of all 30 atoms:
Ca: 0.000 0.000 0.000
Ca: 0.500 0.000 0.500
C: 0.000 0.404 0.256
C: 0.000 0.414 0.660
C: 0.000 0.586 0.340
C: 0.000 0.596 0.744
C: 0.149 0.315 0.619
C: 0.149 0.685 0.381
C: 0.351 0.315 0.881
C: 0.351 0.685 0.119
C: 0.500 0.404 0.244
C: 0.500 0.414 0.840
C: 0.500 0.586 0.160
C: 0.500 0.596 0.756
C: 0.649 0.315 0.881
C: 0.649 0.685 0.119
C: 0.851 0.315 0.619
C: 0.851 0.685 0.381
N: 0.000 0.253 0.185
N: 0.000 0.747 0.815
N: 0.230 0.228 0.917
N: 0.230 0.772 0.083
N: 0.270 0.228 0.583
N: 0.270 0.772 0.417
N: 0.500 0.253 0.315
N: 0.500 0.747 0.685
N: 0.730 0.228 0.583
N: 0.730 0.772 0.417
N: 0.770 0.228 0.917
N: 0.770 0.772 0.083

Calculated powder XRD pattern of Ca3C2N4 for CuKα, from a GGA-PBE-relaxed structure.

Top 8 peaks for 10° ≤ 2θ ≤ 80°, in order of rising 2θ:
2θ/deg	I/Imax
23.0	42
27.1	66
30.0	63
31.0	80
33.4	54
34.0	78
34.5	100
49.8	53

Structural model:
abc: 7.119 7.119 5.378
angles: 99.23 99.23 95.43
Fractional coordinates of all 18 atoms:
Ca: 0.050 0.950 0.750
Ca: 0.242 0.506 0.435
Ca: 0.494 0.758 0.065
Ca: 0.506 0.242 0.935
Ca: 0.758 0.494 0.565
Ca: 0.950 0.050 0.250
C: 0.129 0.350 0.829
C: 0.350 0.129 0.329
C: 0.650 0.871 0.671
C: 0.871 0.650 0.171
N: 0.015 0.281 0.616
N: 0.261 0.485 0.949
N: 0.281 0.015 0.116
N: 0.485 0.261 0.449
N: 0.515 0.739 0.551
N: 0.719 0.985 0.884
N: 0.739 0.515 0.051
N: 0.985 0.719 0.384

Calculated powder XRD pattern of Ca7CN6 for CuKα, from a GGA-PBE-relaxed structure.

Top 8 peaks for 10° ≤ 2θ ≤ 80°, in order of rising 2θ:
2θ/deg	I/Imax
31.0	26
33.1	100
33.8	16
36.6	31
37.1	33
37.6	53
44.6	18
58.6	24

Structural model:
abc: 10.600 6.173 12.594
angles: 90.00 90.00 90.00
Fractional coordinates of all 56 atoms:
Ca: 0.000 0.039 0.250
Ca: 0.000 0.961 0.750
Ca: 0.043 0.242 0.514
Ca: 0.043 0.758 0.014
Ca: 0.204 0.374 0.133
Ca: 0.204 0.626 0.633
Ca: 0.214 0.362 0.876
Ca: 0.214 0.638 0.376
Ca: 0.286 0.138 0.376
Ca: 0.286 0.862 0.876
Ca: 0.296 0.126 0.633
Ca: 0.296 0.874 0.133
Ca: 0.457 0.258 0.014
Ca: 0.457 0.742 0.514
Ca: 0.500 0.461 0.750
Ca: 0.500 0.539 0.250
Ca: 0.543 0.258 0.486
Ca: 0.543 0.742 0.986
Ca: 0.704 0.126 0.867
Ca: 0.704 0.874 0.367
Ca: 0.714 0.138 0.124
Ca: 0.714 0.862 0.624
Ca: 0.786 0.362 0.624
Ca: 0.786 0.638 0.124
Ca: 0.796 0.374 0.367
Ca: 0.796 0.626 0.867
Ca: 0.957 0.242 0.986
Ca: 0.957 0.758 0.486
C: 0.000 0.440 0.750
C: 0.000 0.560 0.250
C: 0.500 0.060 0.250
C: 0.500 0.940 0.750
N: 0.036 0.417 0.344
N: 0.036 0.583 0.844
N: 0.112 0.290 0.711
N: 0.112 0.710 0.211
N: 0.167 0.088 0.001
N: 0.167 0.912 0.501
N: 0.333 0.412 0.501
N: 0.333 0.588 0.001
N: 0.388 0.210 0.211
N: 0.388 0.790 0.711
N: 0.464 0.083 0.844
N: 0.464 0.917 0.344
N: 0.536 0.083 0.656
N: 0.536 0.917 0.156
N: 0.612 0.210 0.289
N: 0.612 0.790 0.789
N: 0.667 0.412 0.999
N: 0.667 0.588 0.499
N: 0.833 0.088 0.499
N: 0.833 0.912 0.999
N: 0.888 0.290 0.789
N: 0.888 0.710 0.289
N: 0.964 0.417 0.156
N: 0.964 0.583 0.656

Calculated powder XRD pattern of CaC7N10 for CuKα, from a GGA-PBE-relaxed structure.

Top 8 peaks for 10° ≤ 2θ ≤ 80°, in order of rising 2θ:
2θ/deg	I/Imax
31.5	36
34.7	94
36.0	100
37.5	40
38.2	75
44.7	38
44.9	62
47.6	46

Structural model:
abc: 5.832 5.656 8.098
angles: 90.00 106.29 90.00
Fractional coordinates of all 36 atoms:
Ca: 0.000 0.115 0.000
Ca: 0.000 0.885 0.500
C: 0.140 0.391 0.401
C: 0.140 0.609 0.901
C: 0.327 0.376 0.713
C: 0.327 0.624 0.213
C: 0.387 0.029 0.348
C: 0.387 0.971 0.848
C: 0.515 0.375 0.013
C: 0.515 0.625 0.513
C: 0.573 0.025 0.656
C: 0.573 0.975 0.156
C: 0.695 0.367 0.317
C: 0.695 0.633 0.817
C: 0.874 0.369 0.636
C: 0.874 0.631 0.136
N: 0.111 0.406 0.770
N: 0.111 0.594 0.270
N: 0.181 0.168 0.336
N: 0.181 0.832 0.836
N: 0.314 0.497 0.553
N: 0.314 0.503 0.053
N: 0.348 0.124 0.693
N: 0.348 0.876 0.193
N: 0.466 0.119 0.003
N: 0.466 0.881 0.503
N: 0.528 0.459 0.848
N: 0.528 0.541 0.348
N: 0.610 0.124 0.310
N: 0.610 0.876 0.810
N: 0.737 0.410 0.149
N: 0.737 0.590 0.649
N: 0.785 0.150 0.664
N: 0.785 0.850 0.164
N: 0.913 0.409 0.452
N: 0.913 0.591 0.952

Calculated powder XRD pattern of Sr3CaCN4 for CuKα, from a GGA-PBE-relaxed structure.

Top 8 peaks for 10° ≤ 2θ ≤ 80°, in order of rising 2θ:
2θ/deg	I/Imax
14.2	20
29.6	38
30.5	100
34.2	37
37.6	29
48.2	21
50.1	28
59.3	28

Structural model:
abc: 12.081 3.774 14.538
angles: 90.00 90.00 90.00
Fractional coordinates of all 36 atoms:
Sr: 0.115 0.250 0.109
Sr: 0.122 0.250 0.536
Sr: 0.148 0.750 0.743
Sr: 0.352 0.250 0.243
Sr: 0.378 0.750 0.036
Sr: 0.385 0.750 0.609
Sr: 0.615 0.250 0.391
Sr: 0.622 0.250 0.964
Sr: 0.648 0.750 0.757
Sr: 0.852 0.250 0.257
Sr: 0.878 0.750 0.464
Sr: 0.885 0.750 0.891
Ca: 0.107 0.750 0.325
Ca: 0.393 0.250 0.825
Ca: 0.607 0.750 0.175
Ca: 0.893 0.250 0.675
C: 0.149 0.250 0.910
C: 0.351 0.750 0.410
C: 0.649 0.250 0.590
C: 0.851 0.750 0.090
N: 0.001 0.250 0.379
N: 0.057 0.250 0.873
N: 0.223 0.750 0.184
N: 0.240 0.250 0.950
N: 0.260 0.750 0.450
N: 0.277 0.250 0.684
N: 0.443 0.750 0.373
N: 0.499 0.750 0.879
N: 0.501 0.250 0.121
N: 0.557 0.250 0.627
N: 0.723 0.750 0.316
N: 0.740 0.250 0.550
N: 0.760 0.750 0.050
N: 0.777 0.250 0.816
N: 0.943 0.750 0.127
N: 0.999 0.750 0.621